# NaMgNbP2SO12
Theoretical PXRD pattern, Cu Kα (λ = 1.5418 Å). Input: DFT lattice parameters and positions (PBE).
Intensities are scaled so that the largest is 100.

```
data_NaMgNbP2SO12
_chemical_formula_sum 'Na4 Mg4 Nb4 P8 S4 O48'
_cell_length_a 15.1586
_cell_length_b 8.7350
_cell_length_c 9.1020
_cell_angle_alpha 90.00
_cell_angle_beta 123.34
_cell_angle_gamma 90.00
_space_group_name_H-M_alt 'C 1 c 1'
_space_group_IT_number 9
_space_group_name_Hall 'C -2yc'
loop_
_atom_site_label
_atom_site_type_symbol
_atom_site_fract_x
_atom_site_fract_y
_atom_site_fract_z
Na1 Na 0.0000 0.2424 0.0000
Mg1 Mg 0.3542 0.2584 0.0754
Nb1 Nb 0.1473 0.2510 0.4544
P1 P 0.1103 0.1109 0.7755
P2 P 0.2594 0.4595 0.2743
S1 S 0.3975 0.1020 0.7701
O1 O 0.0096 0.1766 0.7444
O2 O 0.1094 0.0723 0.2915
O3 O 0.1140 0.1355 0.6029
O4 O 0.1760 0.3606 0.2909
O5 O 0.1855 0.4344 0.6039
O6 O 0.2090 0.1706 0.9337
O7 O 0.3049 0.1761 0.6080
O8 O 0.3228 0.4413 0.9318
O9 O 0.3260 0.3510 0.2472
O10 O 0.3989 0.1319 0.9274
O11 O 0.4033 0.0608 0.2439
O12 O 0.4925 0.1801 0.7831
```

Most intense lines, 10° ≤ 2θ ≤ 90°, in order of falling intensity:
23.45°, d = 3.794 Å, I = 100.0; 14.04°, d = 6.307 Å, I = 78.2; 20.31°, d = 4.372 Å, I = 58.3; 31.23°, d = 2.864 Å, I = 57.2; 19.49°, d = 4.555 Å, I = 52.9; 23.52°, d = 3.782 Å, I = 45.2; 31.08°, d = 2.878 Å, I = 30.7; 35.57°, d = 2.524 Å, I = 30.6; 28.35°, d = 3.148 Å, I = 28.5; 48.08°, d = 1.892 Å, I = 21.1; 24.78°, d = 3.593 Å, I = 18.9; 31.50°, d = 2.840 Å, I = 17.6